For SrGa2S4, DFT lattice parameters and positions (PBE) gives the calculated XRD peak list in this record (λ = 1.5418 Å (Cu Kα)).
Peak positions follow from Bragg's law for the DFT cell and can differ from measured ones.

Atomic structure:
```
SrGa2S4
1.0
3.0279 -5.2713 0.0000
3.0279 5.2713 0.0000
0.0000 0.0000 10.6791
Sr Ga S
2 4 8
Direct
0.0000 0.0000 0.2500 Sr
0.0000 0.0000 0.7500 Sr
0.2607 0.7373 0.0000 Ga
0.2627 0.7393 0.5000 Ga
0.7373 0.2607 0.5000 Ga
0.7393 0.2627 0.0000 Ga
0.0000 0.5000 0.1634 S
0.0000 0.5000 0.8366 S
0.1482 0.3186 0.5000 S
0.3186 0.1482 0.0000 S
0.5000 0.0000 0.3366 S
0.5000 0.0000 0.6634 S
0.6814 0.8518 0.0000 S
0.8518 0.6814 0.5000 S
```

The 8 most intense peaks (2θ = 10–90°), most intense first:
2θ (°)	I_rel
38.20	100
23.74	91
16.86	52
34.00	32
57.83	30
33.57	29
45.25	26
30.58	22